(1)
Computed powder diffraction line list
Compound: K3Np2O5F2
Radiation: CuKα
Structure: DFT lattice parameters and positions (PBE)
No peak broadening, texture or thermal motion is included.

The 10 most intense peaks (10 to 90 degrees two-theta), by intensity:
two_theta, I (rel.), hkl
28.50, 100, 1 0 5
20.99, 91, 1 0 1
29.32, 58, 1 1 0
51.49, 40, 2 1 5
15.54, 40, 0 0 4
41.95, 33, 2 0 0
47.36, 23, 2 1 1
49.95, 22, 1 1 10
58.98, 20, 2 0 10
23.40, 18, 0 0 6

Atomic structure:
```
data_K3Np2O5F2
_chemical_formula_sum 'K6 Np4 O10 F4'
_symmetry_space_group_name_H-M 'I 4/m m m'
_symmetry_Int_Tables_number 139
_symmetry_space_group_name_Hall '-I 4 2'
_cell_length_a 4.308
_cell_length_b 4.308
_cell_length_c 22.814
_cell_angle_alpha 90.00
_cell_angle_beta 90.00
_cell_angle_gamma 90.00
loop_
_atom_site_label
_atom_site_type_symbol
_atom_site_fract_x
_atom_site_fract_y
_atom_site_fract_z
_atom_site_occupancy
K1 K 0.000 0.000 0.000 1
K2 K 0.000 0.000 0.187 1
Np1 Np 0.000 0.000 0.406 1
O1 O 0.000 0.000 0.500 1
O2 O 0.000 0.500 0.099 1
F1 F 0.000 0.000 0.303 1
```

***

(2)
Computed powder diffraction line list
Compound: Y5S4N
Radiation: CuKα
Structure: DFT lattice parameters and positions (PBE)
No peak broadening, texture or thermal motion is included.

The 10 most intense peaks (10 to 90 degrees two-theta), by intensity:
two_theta, I (rel.), hkl
32.99, 100, 1 1 0
28.40, 67, 1 0 5
47.16, 52, 1 1 10
32.73, 43, 0 0 10
47.35, 34, 2 0 0
58.75, 28, 2 0 10
56.14, 21, 2 1 5
88.00, 17, 3 1 10
37.74, 15, 1 0 9
78.83, 14, 3 1 0

Atomic structure:
```
data_Y5S4N
_chemical_formula_sum 'Y10 S8 N2'
_symmetry_space_group_name_H-M 'I 4/m m m'
_symmetry_Int_Tables_number 139
_symmetry_space_group_name_Hall '-I 4 2'
_cell_length_a 3.840
_cell_length_b 3.840
_cell_length_c 27.360
_cell_angle_alpha 90.00
_cell_angle_beta 90.00
_cell_angle_gamma 90.00
loop_
_atom_site_label
_atom_site_type_symbol
_atom_site_fract_x
_atom_site_fract_y
_atom_site_fract_z
_atom_site_occupancy
Y1 Y 0.000 0.000 0.000 1
Y2 Y 0.000 0.000 0.203 1
Y3 Y 0.000 0.000 0.415 1
S1 S 0.000 0.000 0.100 1
S2 S 0.000 0.000 0.305 1
N1 N 0.000 0.000 0.500 1
```